[1]
Tm2TlHg3: computed X-ray diffraction stick pattern (Cu Kα, 1.54184 Å), based on a structure optimized by DFT (PBE).
Neutral-atom scattering factors, no anomalous dispersion.

Structure:
```
data_Tm2TlHg3
_space_group_name_H-M_alt 'P 1'
_space_group_IT_number 1
_cell_length_a 4.940
_cell_length_b 4.039
_cell_length_c 7.925
_cell_angle_alpha 90.00
_cell_angle_beta 107.85
_cell_angle_gamma 90.00
loop_
_space_group_symop_operation_xyz
'x,y,z'
loop_
_atom_site_label
_atom_site_type_symbol
_atom_site_fract_x
_atom_site_fract_y
_atom_site_fract_z
_atom_site_occupancy
Tm1 Tm 0.159 0.000 0.317 1
Tm2 Tm 0.841 0.000 0.683 1
Tl1 Tl 0.500 0.000 0.000 1
Hg1 Hg 0.000 0.500 0.000 1
Hg2 Hg 0.318 0.500 0.638 1
Hg3 Hg 0.682 0.500 0.362 1
```

Peak list (12 most intense, 2θ from 10° to 90°, low angle first)
d (Å)	2θ (°)	I/Imax
2.660	33.70	100.0
2.651	33.81	99.4
2.514	35.71	38.9
2.470	36.37	42.2
2.020	44.88	23.6
1.767	51.74	13.7
1.757	52.04	13.5
1.575	58.63	18.9
1.564	59.08	21.1
1.461	63.68	16.3
1.457	63.88	16.2
1.258	75.61	23.1


[2]
Tm6TlHg8: computed X-ray diffraction stick pattern (Cu Kα, 1.54184 Å), based on a structure optimized by DFT (PBE).
Neutral-atom scattering factors, no anomalous dispersion.

Structure:
```
data_Tm6TlHg8
_space_group_name_H-M_alt 'P 1'
_space_group_IT_number 1
_cell_length_a 7.962
_cell_length_b 7.962
_cell_length_c 7.962
_cell_angle_alpha 66.19
_cell_angle_beta 66.19
_cell_angle_gamma 66.19
loop_
_space_group_symop_operation_xyz
'x,y,z'
loop_
_atom_site_label
_atom_site_type_symbol
_atom_site_fract_x
_atom_site_fract_y
_atom_site_fract_z
_atom_site_occupancy
Tm1 Tm 0.112 0.386 0.813 1
Tm2 Tm 0.187 0.888 0.614 1
Tm3 Tm 0.386 0.813 0.112 1
Tm4 Tm 0.614 0.187 0.888 1
Tm5 Tm 0.813 0.112 0.386 1
Tm6 Tm 0.888 0.614 0.187 1
Tl1 Tl 0.500 0.500 0.500 1
Hg1 Hg 0.051 0.687 0.428 1
Hg2 Hg 0.198 0.198 0.198 1
Hg3 Hg 0.313 0.572 0.949 1
Hg4 Hg 0.428 0.051 0.687 1
Hg5 Hg 0.572 0.949 0.313 1
Hg6 Hg 0.687 0.428 0.051 1
Hg7 Hg 0.802 0.802 0.802 1
Hg8 Hg 0.949 0.313 0.572 1
```

Peak list (12 most intense, 2θ from 10° to 90°, low angle first)
d (Å)	2θ (°)	I/Imax
4.348	20.43	12.5
3.556	25.04	36.3
2.922	30.59	9.6
2.813	31.81	12.5
2.721	32.92	16.4
2.519	35.65	100.0
2.510	35.77	95.3
2.425	37.07	14.7
1.778	51.39	24.3
1.456	63.95	17.5
1.450	64.22	24.2
1.386	67.59	12.1


[3]
TmTlHg: computed X-ray diffraction stick pattern (Cu Kα, 1.54184 Å), based on a structure optimized by DFT (PBE).
Neutral-atom scattering factors, no anomalous dispersion.

Structure:
```
data_TmTlHg
_space_group_name_H-M_alt 'P 1'
_space_group_IT_number 1
_cell_length_a 3.540
_cell_length_b 5.034
_cell_length_c 5.251
_cell_angle_alpha 90.19
_cell_angle_beta 90.10
_cell_angle_gamma 90.00
loop_
_space_group_symop_operation_xyz
'x,y,z'
loop_
_atom_site_label
_atom_site_type_symbol
_atom_site_fract_x
_atom_site_fract_y
_atom_site_fract_z
_atom_site_occupancy
Tm1 Tm 0.000 0.000 0.000 1
Tl1 Tl 0.500 0.000 0.500 1
Hg1 Hg 0.500 0.500 0.000 1
```

Peak list (12 most intense, 2θ from 10° to 90°, low angle first)
d (Å)	2θ (°)	I/Imax
5.251	16.89	17.8
5.034	17.62	16.4
3.634	24.50	28.0
3.540	25.16	13.1
2.625	34.15	36.6
2.537	35.38	100.0
2.532	35.45	33.2
2.517	35.67	32.6
1.820	50.13	12.6
1.814	50.30	12.5
1.499	61.89	13.5
1.497	62.01	13.4


[4]
UTlHg2: computed X-ray diffraction stick pattern (Cu Kα, 1.54184 Å), based on a structure optimized by DFT (PBE).
Neutral-atom scattering factors, no anomalous dispersion.

Structure:
```
data_UTlHg2
_space_group_name_H-M_alt 'P 1'
_space_group_IT_number 1
_cell_length_a 3.266
_cell_length_b 3.266
_cell_length_c 9.613
_cell_angle_alpha 90.00
_cell_angle_beta 90.00
_cell_angle_gamma 90.00
loop_
_space_group_symop_operation_xyz
'x,y,z'
loop_
_atom_site_label
_atom_site_type_symbol
_atom_site_fract_x
_atom_site_fract_y
_atom_site_fract_z
_atom_site_occupancy
U1 U 0.000 0.000 0.000 1
Tl1 Tl 0.000 0.000 0.500 1
Hg1 Hg 0.500 0.500 0.240 1
Hg2 Hg 0.500 0.500 0.760 1
```

Peak list (12 most intense, 2θ from 10° to 90°, low angle first)
d (Å)	2θ (°)	I/Imax
2.701	33.16	100.0
2.403	37.42	17.8
2.309	39.00	32.7
2.287	39.39	0.9
1.665	55.16	23.7
1.633	56.35	11.4
1.438	64.82	14.2
1.397	66.97	27.4
1.351	69.61	12.0
1.266	75.03	0.6
1.202	79.81	1.9
1.155	83.78	3.9